No. 1
Simulated X-ray powder pattern
Compound: Pd7Au2
Radiation: Cu Kα X-rays
Structure: the GGA-PBE geometry in Alexandria
Peak positions follow from Bragg's law for the DFT cell and can differ from measured ones.

Atomic structure:
Lattice parameters (Å, degrees): 4.8944 4.8944 6.9251 90.00 90.00 120.00
Space group P-31m (No. 162)
Unique sites:
Pd  0.0000  0.0000  0.0000 (multiplicity 1)
Pd  0.0000  0.3318  0.6634 (multiplicity 6)
Au  0.3333  0.6667  0.0000 (multiplicity 2)

Peak list (12 most intense, 2θ = 10–90°, low angle first)
- (0 0 1), 2θ 12.78, rel. 6
- (1 0 0), 2θ 20.96, rel. 2
- (1 0 1), 2θ 24.62, rel. 3
- (0 0 2), 2θ 25.73, rel. 2
- (1 0 2), 2θ 33.42, rel. 1
- (1 1 0), 2θ 36.72, rel. 2
- (1 1 1), 2θ 39.03, rel. 100
- (2 -1 2), 2θ 45.38, rel. 49
- (1 1 3), 2θ 54.66, rel. 1
- (3 0 0), 2θ 66.12, rel. 31
- (3 0 3), 2θ 79.54, rel. 37
- (2 2 2), 2θ 83.85, rel. 11



No. 2
Simulated X-ray powder pattern
Compound: ErBiPb2O6
Radiation: Cu Kα X-rays
Structure: the GGA-PBE geometry in Alexandria
Peak positions follow from Bragg's law for the DFT cell and can differ from measured ones.

Atomic structure:
Lattice parameters (Å, degrees): 5.9623 6.0707 10.3985 90.00 124.88 90.00
Space group P2_1/c (No. 14)
Unique sites:
Er  0.0000  0.0000  0.0000 (multiplicity 2)
Bi  0.5000  0.0000  0.5000 (multiplicity 2)
Pb  0.2459  0.0334  0.7510 (multiplicity 4)
O  0.1654  0.1995  0.4564 (multiplicity 4)
O  0.2635  0.7084  0.4576 (multiplicity 4)
O  0.3429  0.0229  0.2556 (multiplicity 4)

Peak list (12 most intense, 2θ = 10–90°, low angle first)
- (0 2 0), 2θ 29.43, rel. 24
- (1 1 1), 2θ 29.66, rel. 100
- (2 0 -2), 2θ 29.97, rel. 24
- (0 0 4), 2θ 42.38, rel. 13
- (2 2 -2), 2θ 42.50, rel. 23
- (1 3 1), 2θ 52.34, rel. 19
- (0 2 4), 2θ 52.44, rel. 11
- (3 1 -1), 2θ 53.02, rel. 23
- (2 2 2), 2θ 61.58, rel. 14
- (1 1 5), 2θ 69.74, rel. 10
- (3 3 -5), 2θ 69.91, rel. 8
- (1 3 5), 2θ 84.90, rel. 7



No. 3
Simulated X-ray powder pattern
Compound: RbTlHg
Radiation: Cu Kα X-rays
Structure: the GGA-PBE geometry in Alexandria
Peak positions follow from Bragg's law for the DFT cell and can differ from measured ones.

Atomic structure:
Lattice parameters (Å, degrees): 5.3922 5.3950 10.0541 89.62 89.76 60.17
Space group P-1 (No. 2)
Unique sites:
Rb  0.1665  0.1696  0.1683 (multiplicity 2)
Tl  0.1668  0.1660  0.5657 (multiplicity 2)
Hg  0.5002  0.4984  0.6637 (multiplicity 2)

Peak list (12 most intense, 2θ = 10–90°, low angle first)
- (1 0 -2), 2θ 26.00, rel. 58
- (0 1 -2), 2θ 26.09, rel. 30
- (1 1 3), 2θ 32.80, rel. 32
- (1 0 -3), 2θ 32.92, rel. 56
- (2 1 0), 2θ 33.19, rel. 100
- (1 2 1), 2θ 34.37, rel. 31
- (2 1 -1), 2θ 34.48, rel. 15
- (2 0 2), 2θ 42.58, rel. 15
- (1 0 5), 2θ 49.27, rel. 13
- (2 3 3), 2θ 58.99, rel. 12
- (3 2 3), 2θ 59.08, rel. 11
- (3 0 0), 2θ 59.25, rel. 23



No. 4
Simulated X-ray powder pattern
Compound: Pb2WBr
Radiation: Cu Kα X-rays
Structure: the GGA-PBE geometry in Alexandria
Peak positions follow from Bragg's law for the DFT cell and can differ from measured ones.

Atomic structure:
Lattice parameters (Å, degrees): 3.3466 3.3466 30.9239 90.00 90.00 120.00
Space group R3m (No. 160, hexagonal axes)
Unique sites:
Pb  0.0000  0.0000  0.0000 (multiplicity 3)
Pb  0.0000  0.0000  0.2392 (multiplicity 3)
W  0.0000  0.0000  0.7405 (multiplicity 3)
Br  0.0000  0.0000  0.4642 (multiplicity 3)

Peak list (12 most intense, 2θ = 10–90°, low angle first)
- (0 0 6), 2θ 17.20, rel. 8
- (0 0 9), 2θ 25.93, rel. 11
- (1 0 4), 2θ 33.01, rel. 100
- (0 1 5), 2θ 34.17, rel. 9
- (0 0 12), 2θ 34.81, rel. 18
- (0 1 8), 2θ 38.84, rel. 53
- (1 0 13), 2θ 49.58, rel. 8
- (1 1 0), 2θ 54.87, rel. 26
- (1 0 16), 2θ 57.30, rel. 10
- (0 2 4), 2θ 65.54, rel. 14
- (1 1 12), 2θ 66.64, rel. 17
- (2 0 8), 2θ 69.24, rel. 10